1.
For La5Y3Th, a cell relaxed with GGA-PBE gives the simulated X-ray powder pattern in this record (CuKα).
Neutral-atom scattering factors, no anomalous dispersion.

Cell and atoms:
a b c (Å): 8.8747 8.8747 16.3524
angles (deg): 90.00 90.00 90.00
Space group I4/mcm (No. 140)
Symmetry-distinct sites (fractional):
La1 0.0000 0.0000 0.0000 (multiplicity 4)
La2 0.2012 0.2988 0.1422 (multiplicity 16)
Y1 0.0000 0.0000 0.2500 (multiplicity 4)
Y2 0.1200 0.3800 0.5000 (multiplicity 8)
Th1 0.0000 0.5000 0.2500 (multiplicity 4)

Most intense lines, 15° ≤ 2θ ≤ 90°, low angle first:
two_theta, I/Imax, (hkl)
17.82, 14, 1 1 2
27.81, 49, 2 1 3
28.45, 50, 2 2 0
29.71, 100, 2 0 4
33.77, 20, 3 1 2
45.30, 15, 4 1 3
46.44, 15, 3 1 6
51.17, 19, 4 2 4

2.
For LaY7Th3, a cell relaxed with GGA-PBE gives the simulated X-ray powder pattern in this record (CuKα).
Neutral-atom scattering factors, no anomalous dispersion.

Cell and atoms:
a b c (Å): 7.1273 7.1273 8.6255
angles (deg): 90.00 90.00 120.00
Space group P3m1 (No. 156)
Symmetry-distinct sites (fractional):
La1 0.0000 0.0000 0.0000 (multiplicity 1)
Y1 0.0026 0.5013 0.0035 (multiplicity 3)
Y2 0.3327 0.1663 0.3473 (multiplicity 3)
Y3 0.3333 0.6667 0.3461 (multiplicity 1)
Th1 0.1674 0.3348 0.6739 (multiplicity 3)

Most intense lines, 15° ≤ 2θ ≤ 90°, low angle first:
two_theta, I/Imax, (hkl)
17.67, 16, 1 0 1
30.77, 100, 2 0 1
31.11, 31, 0 0 3
35.78, 68, 0 2 2
51.27, 23, 2 2 0
51.71, 23, 2 0 4
61.20, 27, 2 2 3
61.59, 14, 0 2 5

3.
For La12Y2Th, a cell relaxed with GGA-PBE gives the simulated X-ray powder pattern in this record (CuKα).
Neutral-atom scattering factors, no anomalous dispersion.

Cell and atoms:
a b c (Å): 7.2569 11.8637 25.2213
angles (deg): 90.00 90.00 90.00
Space group Cmme (No. 67)
Symmetry-distinct sites (fractional):
La1 0.0000 0.0052 0.0716 (multiplicity 8)
La2 0.0000 0.0313 0.5579 (multiplicity 8)
La3 0.2278 0.2500 0.4159 (multiplicity 8)
La4 0.2460 0.2500 0.8746 (multiplicity 8)
La5 0.2500 0.0000 0.2017 (multiplicity 8)
La6 0.2500 0.0000 0.3239 (multiplicity 8)
Y1 0.0000 0.2500 0.2678 (multiplicity 4)
Y2 0.0000 0.2500 0.7276 (multiplicity 4)
Th1 0.0000 0.2500 0.9983 (multiplicity 4)

Most intense lines, 15° ≤ 2θ ≤ 90°, low angle first:
two_theta, I/Imax, (hkl)
25.55, 25, 2 0 2
28.37, 28, 2 0 4
29.00, 52, 0 2 7
29.72, 51, 2 2 2
30.13, 68, 0 4 0
30.78, 23, 2 2 3
32.18, 100, 0 2 8
36.03, 50, 2 2 6

4.
For LaY14Th, a cell relaxed with GGA-PBE gives the simulated X-ray powder pattern in this record (CuKα).
Neutral-atom scattering factors, no anomalous dispersion.

Cell and atoms:
a b c (Å): 7.1884 7.1884 10.1191
angles (deg): 90.00 90.00 90.00
Space group P4/mmm (No. 123)
Symmetry-distinct sites (fractional):
La1 0.0000 0.0000 0.0000 (multiplicity 1)
Y1 0.0000 0.0000 0.5000 (multiplicity 1)
Y2 0.0000 0.5000 0.0000 (multiplicity 2)
Y3 0.0000 0.5000 0.5000 (multiplicity 2)
Y4 0.2534 0.2534 0.2503 (multiplicity 8)
Y5 0.5000 0.5000 0.5000 (multiplicity 1)
Th1 0.5000 0.5000 0.0000 (multiplicity 1)

Most intense lines, 15° ≤ 2θ ≤ 90°, low angle first:
two_theta, I/Imax, (hkl)
30.51, 100, 2 0 2
35.32, 34, 2 2 0
35.49, 17, 0 0 4
50.81, 12, 4 0 0
50.93, 23, 2 2 4
60.43, 27, 4 2 2
60.65, 14, 2 0 6
63.50, 12, 4 0 4

5.
For La2Y4Th, a cell relaxed with GGA-PBE gives the simulated X-ray powder pattern in this record (CuKα).
Neutral-atom scattering factors, no anomalous dispersion.

Cell and atoms:
a b c (Å): 6.3127 3.6374 20.6475
angles (deg): 90.00 95.88 90.00
Space group Cm (No. 8)
Symmetry-distinct sites (fractional):
La1 0.0000 0.0000 0.0000 (multiplicity 2)
La2 0.0927 0.0000 0.2885 (multiplicity 2)
Y1 0.2797 0.0000 0.8528 (multiplicity 2)
Y2 0.3091 0.5000 0.4335 (multiplicity 2)
Y3 0.3775 0.0000 0.1461 (multiplicity 2)
Y4 0.4008 0.5000 0.7147 (multiplicity 2)
Th1 0.1841 0.0000 0.5740 (multiplicity 2)

Most intense lines, 15° ≤ 2θ ≤ 90°, low angle first:
two_theta, I/Imax, (hkl)
28.34, 53, 1 1 0
30.47, 50, 0 0 7
31.88, 100, 2 0 -4
32.59, 97, 2 0 3
50.11, 38, 0 2 0
54.58, 21, 2 0 -11
55.95, 21, 2 0 10
59.78, 44, 3 1 6

6.
For La8Y5Th, a cell relaxed with GGA-PBE gives the simulated X-ray powder pattern in this record (CuKα).
Neutral-atom scattering factors, no anomalous dispersion.

Cell and atoms:
a b c (Å): 12.4517 9.7440 10.2732
angles (deg): 90.00 126.95 90.00
Space group C2 (No. 5)
Symmetry-distinct sites (fractional):
La1 0.0460 0.0000 0.1943 (multiplicity 4)
La2 0.1463 0.7952 0.7083 (multiplicity 4)
La3 0.1813 0.3407 0.4384 (multiplicity 4)
La4 0.2365 0.6336 0.0605 (multiplicity 4)
Y1 0.0000 0.1100 0.5000 (multiplicity 2)
Y2 0.1024 0.6371 0.2586 (multiplicity 4)
Y3 0.1371 0.4302 0.7332 (multiplicity 4)
Th1 0.0000 0.3399 0.0000 (multiplicity 2)

Most intense lines, 15° ≤ 2θ ≤ 90°, low angle first:
two_theta, I/Imax, (hkl)
28.64, 84, 4 0 -2
28.93, 100, 1 3 -1
29.58, 99, 1 1 2
31.87, 77, 2 2 1
31.99, 68, 2 2 -3
35.51, 48, 3 3 -1
46.26, 31, 5 3 -2
55.26, 30, 1 5 2

7.
For LaY7Th2, a cell relaxed with GGA-PBE gives the simulated X-ray powder pattern in this record (CuKα).
Neutral-atom scattering factors, no anomalous dispersion.

Cell and atoms:
a b c (Å): 6.1807 7.1525 8.1030
angles (deg): 76.84 74.86 74.06
Space group P-1 (No. 2)
Symmetry-distinct sites (fractional):
La1 0.0000 0.0000 0.0000 (multiplicity 1)
Y1 0.0000 0.5000 0.0000 (multiplicity 1)
Y2 0.1978 0.2989 0.5976 (multiplicity 2)
Y3 0.3967 0.0995 0.2070 (multiplicity 2)
Y4 0.4050 0.5974 0.2051 (multiplicity 2)
Th1 0.1965 0.8006 0.5981 (multiplicity 2)

Most intense lines, 15° ≤ 2θ ≤ 90°, low angle first:
two_theta, I/Imax, (hkl)
30.46, 100, 2 0 1
30.54, 34, 0 2 -1
35.10, 46, -1 2 1
35.82, 22, 2 2 0
51.00, 23, 3 0 -1
60.12, 19, 0 4 3
60.26, 10, 1 -4 0
61.08, 18, 2 4 -1

8.
For La2Y5Th, a cell relaxed with GGA-PBE gives the simulated X-ray powder pattern in this record (CuKα).
Neutral-atom scattering factors, no anomalous dispersion.

Cell and atoms:
a b c (Å): 5.8231 9.8490 19.1414
angles (deg): 90.00 90.00 90.00
Space group Cmcm (No. 63)
Symmetry-distinct sites (fractional):
La1 0.0000 0.1563 0.1578 (multiplicity 8)
Y1 0.0000 0.1722 0.5387 (multiplicity 8)
Y2 0.0000 0.1802 0.7500 (multiplicity 4)
Y3 0.0000 0.4882 0.0792 (multiplicity 8)
Th1 0.0000 0.4804 0.2500 (multiplicity 4)

Most intense lines, 15° ≤ 2θ ≤ 90°, low angle first:
two_theta, I/Imax, (hkl)
29.36, 49, 1 1 5
29.56, 38, 0 2 5
30.71, 56, 2 0 0
31.28, 100, 1 3 0
33.29, 53, 1 1 6
33.47, 19, 0 2 6
43.14, 27, 2 2 5
54.95, 20, 3 3 0

9.
For La3ThZn2, a cell relaxed with GGA-PBE gives the simulated X-ray powder pattern in this record (CuKα).
Neutral-atom scattering factors, no anomalous dispersion.

Cell and atoms:
a b c (Å): 3.6930 3.6930 12.7080
angles (deg): 90.00 90.00 90.00
Space group P4/mmm (No. 123)
Symmetry-distinct sites (fractional):
La1 0.0000 0.0000 0.0000 (multiplicity 1)
La2 0.0000 0.0000 0.3059 (multiplicity 2)
Th1 0.5000 0.5000 0.5000 (multiplicity 1)
Zn1 0.5000 0.5000 0.1523 (multiplicity 2)

Most intense lines, 15° ≤ 2θ ≤ 90°, low angle first:
two_theta, I/Imax, (hkl)
25.11, 11, 1 0 1
27.94, 16, 1 0 2
32.16, 100, 1 0 3
34.34, 47, 1 1 0
49.35, 17, 2 0 0
55.89, 15, 1 1 6
60.13, 33, 2 1 3
67.27, 8, 2 0 6

10.
For LaTiV, a cell relaxed with GGA-PBE gives the simulated X-ray powder pattern in this record (CuKα).
Neutral-atom scattering factors, no anomalous dispersion.

Cell and atoms:
a b c (Å): 4.9109 4.7520 11.3168
angles (deg): 90.00 90.12 90.00
Space group C2 (No. 5)
Symmetry-distinct sites (fractional):
La1 0.2484 0.0000 0.1516 (multiplicity 4)
Ti1 0.2504 0.3339 0.5666 (multiplicity 4)
V1 0.2491 0.3532 0.3275 (multiplicity 4)

Most intense lines, 15° ≤ 2θ ≤ 90°, low angle first:
two_theta, I/Imax, (hkl)
23.58, 23, 0 0 3
27.28, 66, 1 1 -1
30.58, 100, 1 1 2
35.46, 22, 1 1 3
36.60, 45, 2 0 0
41.45, 57, 1 1 -4
48.24, 25, 0 0 6
62.13, 21, 3 1 -2

11.
For LaTiV, a cell relaxed with GGA-PBE gives the simulated X-ray powder pattern in this record (CuKα).
Neutral-atom scattering factors, no anomalous dispersion.

Cell and atoms:
a b c (Å): 3.4622 20.3313 3.7799
angles (deg): 90.00 90.00 90.00
Space group Cmcm (No. 63)
Symmetry-distinct sites (fractional):
La1 0.0000 0.1876 0.2500 (multiplicity 4)
Ti1 0.0000 0.4298 0.2500 (multiplicity 4)
V1 0.0000 0.0397 0.2500 (multiplicity 4)

Most intense lines, 15° ≤ 2θ ≤ 90°, low angle first:
two_theta, I/Imax, (hkl)
25.14, 34, 0 2 1
28.96, 34, 1 3 0
29.45, 64, 0 4 1
34.01, 64, 1 5 0
35.32, 40, 0 8 0
35.44, 100, 1 1 1
35.58, 30, 0 6 1
47.41, 54, 1 7 1

12.
For La5Tl3, a cell relaxed with GGA-PBE gives the simulated X-ray powder pattern in this record (CuKα).
Neutral-atom scattering factors, no anomalous dispersion.

Cell and atoms:
a b c (Å): 12.8673 12.8673 6.3898
angles (deg): 90.00 90.00 90.00
Space group I4/mcm (No. 140)
Symmetry-distinct sites (fractional):
La1 0.0000 0.5000 0.2500 (multiplicity 4)
La2 0.0864 0.2202 0.0000 (multiplicity 16)
Tl1 0.0000 0.0000 0.2500 (multiplicity 4)
Tl2 0.1610 0.3390 0.5000 (multiplicity 8)

Most intense lines, 15° ≤ 2θ ≤ 90°, low angle first:
two_theta, I/Imax, (hkl)
28.65, 46, 3 2 1
31.08, 73, 4 2 0
31.26, 63, 2 0 2
31.91, 100, 4 1 1
34.30, 30, 2 2 2
40.30, 30, 5 2 1
51.98, 26, 4 1 3
59.32, 26, 6 4 2